# 1
This entry pairs a crystal structure of Tb3In3CuNiAu with its computed XRD peak list. Radiation: copper Kα. Structure: a crystal structure in OQMD, relaxed with GGA-PBE.
Kinematic intensities with the Lorentz-polarization factor, no thermal factor.

Principal peaks in the range 2θ = 10–80°, in order of rising 2θ:
| 2θ (°) | d (Å) | I/Imax |
| --- | --- | --- |
| 33.03 | 2.712 | 68.8 |
| 35.78 | 2.510 | 100.0 |
| 40.78 | 2.213 | 21.8 |
| 47.38 | 1.919 | 19.5 |
| 60.77 | 1.524 | 22.5 |
| 66.00 | 1.416 | 20.1 |

```
Tb3In3CuNiAu
1.0
7.665 0.000 0.000
-3.832 6.638 0.000
0.000 0.000 3.838
Tb In Cu Ni Au
3 3 1 1 1
Direct
0.086 0.737 0.000
0.263 0.349 0.000
0.651 0.914 0.000
0.417 0.078 0.500
0.661 0.583 0.500
0.922 0.339 0.500
0.667 0.333 0.000
0.333 0.667 0.500
0.000 0.000 0.500
```

# 2
This entry pairs a crystal structure of BaMg2AgPb with its computed XRD peak list. Radiation: copper Kα. Structure: a crystal structure in OQMD, relaxed with GGA-PBE.
Kinematic intensities with the Lorentz-polarization factor, no thermal factor.

Principal peaks in the range 2θ = 10–80°, in order of rising 2θ:
| 2θ (°) | d (Å) | I/Imax |
| --- | --- | --- |
| 26.26 | 3.394 | 88.9 |
| 28.29 | 3.154 | 100.0 |
| 29.93 | 2.986 | 46.2 |
| 37.47 | 2.400 | 55.9 |
| 40.55 | 2.225 | 58.7 |
| 47.62 | 1.910 | 53.0 |

```
BaMg2AgPb
1.0
-2.400 2.400 6.277
2.400 -2.400 6.277
2.400 2.400 -6.277
Ba Mg Ag Pb
1 2 1 1
Direct
0.000 0.000 0.000
0.249 0.749 0.500
0.749 0.249 0.500
0.626 0.626 0.000
0.390 0.390 0.000
```

# 3
This entry pairs a crystal structure of Pr4In21Pd10 with its computed XRD peak list. Radiation: copper Kα. Structure: a crystal structure in OQMD, relaxed with GGA-PBE.
Kinematic intensities with the Lorentz-polarization factor, no thermal factor.

Principal peaks in the range 2θ = 10–80°, in order of rising 2θ:
| 2θ (°) | d (Å) | I/Imax |
| --- | --- | --- |
| 32.88 | 2.724 | 49.3 |
| 33.65 | 2.664 | 70.4 |
| 33.79 | 2.653 | 39.2 |
| 33.92 | 2.643 | 37.2 |
| 34.20 | 2.622 | 67.2 |
| 39.56 | 2.278 | 100.0 |

```
Pr4In21Pd10
1.0
11.695 -2.278 0.000
11.695 2.278 0.000
-9.847 0.000 14.311
Pr In Pd
4 21 10
Direct
0.122 0.122 0.333
0.230 0.230 0.825
0.770 0.770 0.175
0.878 0.878 0.667
0.010 0.010 0.093
0.065 0.065 0.798
0.116 0.116 0.552
0.201 0.201 0.005
0.251 0.251 0.294
0.299 0.299 0.500
0.370 0.370 0.802
0.384 0.384 0.295
0.399 0.399 0.003
0.458 0.458 0.632
0.500 0.500 0.500
0.542 0.542 0.368
0.601 0.601 0.997
0.616 0.616 0.705
0.630 0.630 0.198
0.701 0.701 0.500
0.749 0.749 0.706
0.799 0.799 0.995
0.884 0.884 0.448
0.935 0.935 0.202
0.990 0.990 0.907
0.025 0.025 0.611
0.137 0.137 0.106
0.250 0.250 0.615
0.346 0.346 0.112
0.494 0.494 0.813
0.506 0.506 0.187
0.654 0.654 0.888
0.750 0.750 0.385
0.863 0.863 0.894
0.975 0.975 0.389
```

# 4
This entry pairs a crystal structure of K8Zr6BBr20 with its computed XRD peak list. Radiation: copper Kα. Structure: a crystal structure in OQMD, relaxed with GGA-PBE.
Kinematic intensities with the Lorentz-polarization factor, no thermal factor.

Principal peaks in the range 2θ = 10–80°, in order of rising 2θ:
| 2θ (°) | d (Å) | I/Imax |
| --- | --- | --- |
| 10.68 | 8.282 | 39.3 |
| 27.99 | 3.188 | 65.3 |
| 31.97 | 2.800 | 35.2 |
| 32.43 | 2.761 | 100.0 |
| 46.52 | 1.952 | 65.7 |
| 55.18 | 1.665 | 27.5 |

```
K8Zr6BBr20
1.0
0.000 8.282 8.282
8.282 0.000 8.282
8.282 8.282 0.000
K Zr B Br
8 6 1 20
Direct
0.139 0.139 0.139
0.139 0.139 0.582
0.139 0.582 0.139
0.418 0.861 0.861
0.582 0.139 0.139
0.861 0.418 0.861
0.861 0.861 0.418
0.861 0.861 0.861
0.359 0.359 0.641
0.359 0.641 0.359
0.359 0.641 0.641
0.641 0.359 0.359
0.641 0.359 0.641
0.641 0.641 0.359
0.500 0.500 0.500
0.172 0.500 0.500
0.172 0.500 0.828
0.172 0.828 0.500
0.183 0.183 0.817
0.183 0.817 0.183
0.183 0.817 0.817
0.250 0.250 0.250
0.500 0.172 0.500
0.500 0.172 0.828
0.500 0.500 0.172
0.500 0.500 0.828
0.500 0.828 0.172
0.500 0.828 0.500
0.750 0.750 0.750
0.817 0.183 0.183
0.817 0.183 0.817
0.817 0.817 0.183
0.828 0.172 0.500
0.828 0.500 0.172
0.828 0.500 0.500
```